Record 1
Calculated powder diffraction line list
Compound: Ba3Sr6Ca
Radiation: Cu Kα (λ = 1.5418 Å)
Structure: a GGA-PBE-relaxed structure

Peak list (8 most intense, 2θ from 10° to 90°, low angle first)
Position (°2θ)  intensity
20.51  37
24.07  37
25.99  37
26.11  81
26.71  58
27.14  100
37.61  28
47.43  22

Structural model:
```
data_Ba3Sr6Ca
_chemical_formula_sum 'Ba6 Sr12 Ca2'
_cell_length_a 12.405
_cell_length_b 14.269
_cell_length_c 6.676
_cell_angle_alpha 90.00
_cell_angle_beta 90.00
_cell_angle_gamma 90.00
_symmetry_space_group_name_H-M 'P n n m'
_symmetry_Int_Tables_number 58
loop_
_symmetry_equiv_pos_as_xyz
'x,y,z'
'-x,-y,-z'
'-x,-y,z'
'x,y,-z'
'x+1/2,-y+1/2,-z+1/2'
'-x+1/2,y+1/2,z+1/2'
'-x+1/2,y+1/2,-z+1/2'
'x+1/2,-y+1/2,z+1/2'
loop_
_atom_site_label
_atom_site_fract_x
_atom_site_fract_y
_atom_site_fract_z
Ba1 0.000 0.000 0.000
Ba2 0.244 0.051 0.500
Sr1 0.060 0.305 0.000
Sr2 0.091 0.777 0.500
Sr3 0.239 0.335 0.500
Ca1 0.000 0.500 0.500
```

***

Record 2
Calculated powder diffraction line list
Compound: ErInC
Radiation: Cu Kα (λ = 1.5418 Å)
Structure: a GGA-PBE-relaxed structure

Peak list (8 most intense, 2θ from 10° to 90°, low angle first)
Position (°2θ)  intensity
26.83  60
29.60  100
35.62  32
40.37  90
45.15  32
63.96  18
67.20  18
68.26  19

Structural model:
```
data_ErInC
_chemical_formula_sum 'Er4 In4 C4'
_cell_length_a 3.768
_cell_length_b 5.040
_cell_length_c 13.292
_cell_angle_alpha 90.00
_cell_angle_beta 90.00
_cell_angle_gamma 90.00
_symmetry_space_group_name_H-M 'I m m m'
_symmetry_Int_Tables_number 71
_symmetry_space_group_name_Hall '-I 2 2'
loop_
_atom_site_label
_atom_site_fract_x
_atom_site_fract_y
_atom_site_fract_z
Er1 0.000 0.000 0.129
In1 0.000 0.000 0.361
C1 0.000 0.364 0.000
```

***

Record 3
Calculated powder diffraction line list
Compound: Dy5Bi2
Radiation: Cu Kα (λ = 1.5418 Å)
Structure: a GGA-PBE-relaxed structure

Peak list (8 most intense, 2θ from 10° to 90°, low angle first)
Position (°2θ)  intensity
29.36  74
31.21  33
31.55  63
32.02  100
32.61  65
33.54  35
35.75  89
36.32  60

Structural model:
```
data_Dy5Bi2
_chemical_formula_sum 'Dy20 Bi8'
_cell_length_a 16.448
_cell_length_b 6.494
_cell_length_c 8.188
_cell_angle_alpha 90.00
_cell_angle_beta 95.98
_cell_angle_gamma 90.00
_symmetry_space_group_name_H-M 'C 1 2/c 1'
_symmetry_Int_Tables_number 15
loop_
_symmetry_equiv_pos_as_xyz
'x,y,z'
'-x,-y,-z'
'-x,y,-z+1/2'
'x,-y,z+1/2'
'x+1/2,y+1/2,z'
'-x+1/2,-y+1/2,-z'
'-x+1/2,y+1/2,-z+1/2'
'x+1/2,-y+1/2,z+1/2'
loop_
_atom_site_label
_atom_site_fract_x
_atom_site_fract_y
_atom_site_fract_z
Dy1 0.000 0.170 0.250
Dy2 0.102 0.378 0.940
Dy3 0.225 0.121 0.304
Bi1 0.101 0.164 0.587
```

***

Record 4
Calculated powder diffraction line list
Compound: CsSiGe
Radiation: Cu Kα (λ = 1.5418 Å)
Structure: a GGA-PBE-relaxed structure

Peak list (8 most intense, 2θ from 10° to 90°, low angle first)
Position (°2θ)  intensity
25.20  15
27.97  24
28.88  100
38.00  17
44.41  24
50.05  19
53.30  23
53.84  17

Structural model:
```
data_CsSiGe
_chemical_formula_sum 'Cs1 Si1 Ge1'
_cell_length_a 4.0801
_cell_length_b 4.0801
_cell_length_c 6.3811
_cell_angle_alpha 90.00
_cell_angle_beta 90.00
_cell_angle_gamma 120.00
_symmetry_space_group_name_H-M 'P 3 m 1'
_symmetry_Int_Tables_number 156
loop_
_symmetry_equiv_pos_as_xyz
'x,y,z'
'-y,x-y,z'
'-x+y,-x,z'
'-y,-x,z'
'-x+y,y,z'
'x,x-y,z'
loop_
_atom_site_label
_atom_site_fract_x
_atom_site_fract_y
_atom_site_fract_z
Cs1 0.0000 0.0000 0.0000
Si1 0.6667 0.3333 0.4412
Ge1 0.3333 0.6667 0.5525
```

***

Record 5
Calculated powder diffraction line list
Compound: RbSbAsPd2
Radiation: Cu Kα (λ = 1.5418 Å)
Structure: a GGA-PBE-relaxed structure

Peak list (8 most intense, 2θ from 10° to 90°, low angle first)
Position (°2θ)  intensity
11.03  100
30.82  19
31.23  17
32.83  13
33.58  41
40.45  48
44.23  20
51.51  15

Structural model:
```
data_RbSbAsPd2
_chemical_formula_sum 'Rb2 Sb2 As2 Pd4'
_cell_length_a 7.985
_cell_length_b 4.095
_cell_length_c 8.033
_cell_angle_alpha 90.00
_cell_angle_beta 92.86
_cell_angle_gamma 90.00
_symmetry_space_group_name_H-M 'P 1 21/m 1'
_symmetry_Int_Tables_number 11
loop_
_symmetry_equiv_pos_as_xyz
'x,y,z'
'-x,-y,-z'
'-x,y+1/2,-z'
'x,-y+1/2,z'
loop_
_atom_site_label
_atom_site_fract_x
_atom_site_fract_y
_atom_site_fract_z
Rb1 0.244 0.250 0.495
Sb1 0.426 0.750 0.148
As1 0.101 0.750 0.818
Pd1 0.072 0.750 0.133
Pd2 0.270 0.250 0.992
```

***

Record 6
Calculated powder diffraction line list
Compound: TmScNiOs
Radiation: Cu Kα (λ = 1.5418 Å)
Structure: a GGA-PBE-relaxed structure

Peak list (8 most intense, 2θ from 10° to 90°, low angle first)
Position (°2θ)  intensity
13.70  35
30.43  32
38.61  52
39.03  100
55.75  18
70.14  35
70.98  16
83.84  10

Structural model:
```
data_TmScNiOs
_chemical_formula_sum 'Tm1 Sc1 Ni1 Os1'
_cell_length_a 3.298
_cell_length_b 3.298
_cell_length_c 6.462
_cell_angle_alpha 90.00
_cell_angle_beta 90.00
_cell_angle_gamma 90.00
_symmetry_space_group_name_H-M 'P 4 m m'
_symmetry_Int_Tables_number 99
loop_
_symmetry_equiv_pos_as_xyz
'x,y,z'
'-y,x,z'
'-x,-y,z'
'y,-x,z'
'-x,y,z'
'y,x,z'
'x,-y,z'
'-y,-x,z'
loop_
_atom_site_label
_atom_site_fract_x
_atom_site_fract_y
_atom_site_fract_z
Tm1 0.000 0.000 0.000
Sc1 0.000 0.000 0.504
Ni1 0.500 0.500 0.265
Os1 0.500 0.500 0.736
```

***

Record 7
Calculated powder diffraction line list
Compound: LiGaReRu
Radiation: Cu Kα (λ = 1.5418 Å)
Structure: a GGA-PBE-relaxed structure

Peak list (8 most intense, 2θ from 10° to 90°, low angle first)
Position (°2θ)  intensity
18.85  72
20.57  44
34.03  24
39.82  100
41.41  42
41.85  43
46.11  31
48.02  57

Structural model:
```
data_LiGaReRu
_chemical_formula_sum 'Li2 Ga2 Re2 Ru2'
_cell_length_a 8.699
_cell_length_b 2.767
_cell_length_c 4.742
_cell_angle_alpha 90.00
_cell_angle_beta 96.96
_cell_angle_gamma 90.00
_symmetry_space_group_name_H-M 'C 1 m 1'
_symmetry_Int_Tables_number 8
loop_
_symmetry_equiv_pos_as_xyz
'x,y,z'
'x,-y,z'
'x+1/2,y+1/2,z'
'x+1/2,-y+1/2,z'
loop_
_atom_site_label
_atom_site_fract_x
_atom_site_fract_y
_atom_site_fract_z
Li1 0.000 0.000 0.000
Ga1 0.246 0.000 0.798
Re1 0.261 0.500 0.297
Ru1 0.008 0.500 0.498
```

***

Record 8
Calculated powder diffraction line list
Compound: ZrBeO3
Radiation: Cu Kα (λ = 1.5418 Å)
Structure: a GGA-PBE-relaxed structure

Peak list (8 most intense, 2θ from 10° to 90°, low angle first)
Position (°2θ)  intensity
15.53  100
20.93  32
30.00  25
31.58  44
34.76  20
34.97  34
43.70  16
54.27  17

Structural model:
```
data_ZrBeO3
_chemical_formula_sum 'Zr2 Be2 O6'
_cell_length_a 5.717
_cell_length_b 3.221
_cell_length_c 5.968
_cell_angle_alpha 90.00
_cell_angle_beta 93.29
_cell_angle_gamma 90.00
_symmetry_space_group_name_H-M 'P 1 21/m 1'
_symmetry_Int_Tables_number 11
loop_
_symmetry_equiv_pos_as_xyz
'x,y,z'
'-x,-y,-z'
'-x,y+1/2,-z'
'x,-y+1/2,z'
loop_
_atom_site_label
_atom_site_fract_x
_atom_site_fract_y
_atom_site_fract_z
Zr1 0.082 0.250 0.241
Be1 0.421 0.250 0.618
O1 0.141 0.250 0.625
O2 0.176 0.750 0.051
O3 0.458 0.250 0.340
```

***

Record 9
Calculated powder diffraction line list
Compound: CeEuPbAu
Radiation: Cu Kα (λ = 1.5418 Å)
Structure: a GGA-PBE-relaxed structure

Peak list (8 most intense, 2θ from 10° to 90°, low angle first)
Position (°2θ)  intensity
23.01  3
32.76  100
47.01  18
52.96  1
58.48  39
68.67  12
78.19  17
87.38  4

Structural model:
```
data_CeEuPbAu
_chemical_formula_sum 'Ce4 Eu4 Pb4 Au4'
_cell_length_a 7.732
_cell_length_b 7.732
_cell_length_c 7.732
_cell_angle_alpha 90.00
_cell_angle_beta 90.00
_cell_angle_gamma 90.00
_symmetry_space_group_name_H-M 'F -4 3 m'
_symmetry_Int_Tables_number 216
_symmetry_space_group_name_Hall 'F -4 2 3'
loop_
_atom_site_label
_atom_site_fract_x
_atom_site_fract_y
_atom_site_fract_z
Ce1 0.000 0.000 0.000
Eu1 0.000 0.000 0.500
Pb1 0.250 0.250 0.750
Au1 0.250 0.250 0.250
```

***

Record 10
Calculated powder diffraction line list
Compound: KRb7Au6
Radiation: Cu Kα (λ = 1.5418 Å)
Structure: a GGA-PBE-relaxed structure

Peak list (8 most intense, 2θ from 10° to 90°, low angle first)
Position (°2θ)  intensity
17.08  48
21.65  32
26.60  50
27.70  32
29.80  38
31.79  100
37.14  37
40.37  34

Structural model:
```
data_KRb7Au6
_chemical_formula_sum 'K3 Rb21 Au18'
_cell_length_a 10.3844
_cell_length_b 10.3844
_cell_length_c 20.1009
_cell_angle_alpha 90.00
_cell_angle_beta 90.00
_cell_angle_gamma 120.00
_symmetry_space_group_name_H-M 'R 3'
_symmetry_Int_Tables_number 146
_symmetry_space_group_name_Hall 'R 3'
loop_
_atom_site_label
_atom_site_fract_x
_atom_site_fract_y
_atom_site_fract_z
K1 0.0000 0.0000 0.0000
Rb1 0.0000 0.0000 0.6715
Rb2 0.0159 0.2726 0.4340
Rb3 0.0758 0.6831 0.9040
Au1 0.0008 0.4011 0.2758
Au2 0.0750 0.7288 0.7288
```

***

Record 11
Calculated powder diffraction line list
Compound: In2SiNi
Radiation: Cu Kα (λ = 1.5418 Å)
Structure: a GGA-PBE-relaxed structure

Peak list (8 most intense, 2θ from 10° to 90°, low angle first)
Position (°2θ)  intensity
16.57  44
30.27  63
30.47  77
37.23  100
38.02  74
40.61  55
41.92  46
45.00  57

Structural model:
```
data_In2SiNi
_chemical_formula_sum 'In4 Si2 Ni2'
_cell_length_a 9.493
_cell_length_b 3.128
_cell_length_c 6.020
_cell_angle_alpha 90.00
_cell_angle_beta 117.30
_cell_angle_gamma 90.00
_symmetry_space_group_name_H-M 'C 1 m 1'
_symmetry_Int_Tables_number 8
loop_
_symmetry_equiv_pos_as_xyz
'x,y,z'
'x,-y,z'
'x+1/2,y+1/2,z'
'x+1/2,-y+1/2,z'
loop_
_atom_site_label
_atom_site_fract_x
_atom_site_fract_y
_atom_site_fract_z
In1 0.000 0.000 0.000
In2 0.162 0.000 0.626
Si1 0.323 0.500 0.263
Ni1 0.420 0.000 0.578
```

***

Record 12
Calculated powder diffraction line list
Compound: MgBRh3
Radiation: Cu Kα (λ = 1.5418 Å)
Structure: a GGA-PBE-relaxed structure

Peak list (8 most intense, 2θ from 10° to 90°, low angle first)
Position (°2θ)  intensity
12.04  54
36.22  39
37.41  69
39.97  41
40.67  100
41.08  50
41.22  69
64.55  29

Structural model:
```
data_MgBRh3
_chemical_formula_sum 'Mg8 B8 Rh24'
_cell_length_a 9.622
_cell_length_b 11.407
_cell_length_c 5.025
_cell_angle_alpha 90.00
_cell_angle_beta 91.83
_cell_angle_gamma 90.00
_symmetry_space_group_name_H-M 'C 1 2/c 1'
_symmetry_Int_Tables_number 15
loop_
_symmetry_equiv_pos_as_xyz
'x,y,z'
'-x,-y,-z'
'-x,y,-z+1/2'
'x,-y,z+1/2'
'x+1/2,y+1/2,z'
'-x+1/2,-y+1/2,-z'
'-x+1/2,y+1/2,-z+1/2'
'x+1/2,-y+1/2,z+1/2'
loop_
_atom_site_label
_atom_site_fract_x
_atom_site_fract_y
_atom_site_fract_z
Mg1 0.132 0.072 0.068
B1 0.000 0.305 0.750
B2 0.000 0.438 0.250
Rh1 0.128 0.308 0.099
Rh2 0.129 0.185 0.580
Rh3 0.135 0.433 0.586
```